# Pm7Tm3Sc
Calculated X-ray diffraction stick pattern, Cu Kα X-rays. Input: a structure optimized by DFT (PBE).
Intensities are scaled so that the largest is 100.

Atomic structure:
```
22
Lattice="3.5203 -9.1821 0.0000 3.5203 9.1821 0.0000 -0.0193 0.0000 11.2285" Properties=species:S:1:pos:R:3 pbc="T T T"
Pm 1.7251 2.9536 5.2777
Pm 1.7341 2.9513 0.3389
Pm 1.6836 1.6000 8.4158
Pm 1.6395 0.0000 2.8068
Pm 1.6836 -1.6000 8.4158
Pm 1.7251 -2.9536 5.2777
Pm 1.7341 -2.9513 0.3389
Pm 5.2872 2.9513 10.8896
Pm 5.2962 2.9536 5.9508
Pm 5.3376 1.6000 2.8127
Pm 5.3817 0.0000 8.4216
Pm 5.3376 -1.6000 2.8127
Pm 5.2872 -2.9513 10.8896
Pm 5.2962 -2.9536 5.9508
Tm 3.5150 4.5364 2.8015
Tm 3.5062 4.5364 8.4270
Tm 3.5203 0.0000 0.0000
Tm 3.5106 0.0000 5.6142
Tm 3.5150 -4.5364 2.8015
Tm 3.5062 -4.5364 8.4270
Sc 0.0000 0.0000 0.0000
Sc -0.0097 0.0000 5.6142
```

The 10 most intense peaks (2θ = 10–90°), by angle:
25.06 deg, intensity 15
28.54 deg, intensity 24
30.75 deg, intensity 22
31.54 deg, intensity 100
31.88 deg, intensity 43
32.04 deg, intensity 37
33.34 deg, intensity 57
45.83 deg, intensity 24
59.07 deg, intensity 26
63.14 deg, intensity 18